Structure and calculated powder diffractogram of BaSrZnSe3 (the GGA-PBE geometry in OQMD; Cu Kα (λ = 1.5418 Å)).

Structural model:
Lattice parameters (Å, degrees): 9.5250 4.3789 16.8642 90.00 90.00 90.00
Element x y z (fractional)
Ba 0.0768 0.2500 0.2058
Ba 0.4232 0.7500 0.7058
Ba 0.5768 0.2500 0.2942
Ba 0.9232 0.7500 0.7942
Sr 0.2206 0.7500 0.4579
Sr 0.2794 0.2500 0.9579
Sr 0.7206 0.7500 0.0421
Sr 0.7794 0.2500 0.5421
Zn 0.1374 0.2500 0.6347
Zn 0.3626 0.7500 0.1347
Zn 0.6374 0.2500 0.8653
Zn 0.8626 0.7500 0.3653
Se 0.0026 0.7500 0.6013
Se 0.1418 0.7500 0.0588
Se 0.1858 0.2500 0.7794
Se 0.3142 0.7500 0.2794
Se 0.3582 0.2500 0.5588
Se 0.4974 0.2500 0.1013
Se 0.5026 0.7500 0.8987
Se 0.6418 0.7500 0.4412
Se 0.6858 0.2500 0.7206
Se 0.8142 0.7500 0.2206
Se 0.8582 0.2500 0.9412
Se 0.9974 0.2500 0.3987

Top 8 peaks for 15 to 90 degrees two-theta, low angle first:
28.1°, rel. 498; 28.2°, rel. 978; 29.7°, rel. 1000; 30.1°, rel. 278; 30.9°, rel. 477; 34.9°, rel. 367; 38.5°, rel. 294; 41.2°, rel. 493

Structure and calculated powder diffractogram of Ba3Ta2Se9 (the GGA-PBE geometry in OQMD; Cu Kα (λ = 1.5418 Å)).

Structural model:
Lattice parameters (Å, degrees): 7.4225 12.5503 17.8212 90.00 97.25 90.00
Element x y z (fractional)
Ba 0.2391 0.0882 0.0813
Ba 0.2391 0.4118 0.5813
Ba 0.2467 0.0611 0.4193
Ba 0.2467 0.4389 0.9193
Ba 0.2547 0.7493 0.7478
Ba 0.2547 0.7507 0.2478
Ba 0.7453 0.2493 0.7522
Ba 0.7453 0.2507 0.2522
Ba 0.7533 0.5611 0.0807
Ba 0.7533 0.9389 0.5807
Ba 0.7609 0.5882 0.4187
Ba 0.7609 0.9118 0.9187
Ta 0.2131 0.0638 0.8488
Ta 0.2131 0.4362 0.3488
Ta 0.2772 0.0655 0.6535
Ta 0.2772 0.4345 0.1535
Ta 0.7228 0.5655 0.8465
Ta 0.7228 0.9345 0.3465
Ta 0.7869 0.5638 0.6512
Ta 0.7869 0.9362 0.1512
Se 0.0027 0.5235 0.2470
Se 0.0027 0.9765 0.7470
Se 0.0103 0.1928 0.6177
Se 0.0103 0.3072 0.1177
Se 0.0151 0.6483 0.5831
Se 0.0151 0.8517 0.0831
Se 0.1955 0.5858 0.0710
Se 0.1955 0.9142 0.5710
Se 0.2374 0.2294 0.7517
Se 0.2374 0.2706 0.2517
Se 0.3179 0.5772 0.4361
Se 0.3179 0.9228 0.9361
Se 0.4537 0.2125 0.8781
Se 0.4537 0.2875 0.3781
Se 0.4898 0.1595 0.5819
Se 0.4898 0.3405 0.0819
Se 0.4979 0.5118 0.2574
Se 0.4979 0.9882 0.7574
Se 0.5021 0.0118 0.2426
Se 0.5021 0.4882 0.7426
Se 0.5102 0.6595 0.9181
Se 0.5102 0.8405 0.4181
Se 0.5463 0.7125 0.6219
Se 0.5463 0.7875 0.1219
Se 0.6821 0.0772 0.0639
Se 0.6821 0.4228 0.5639
Se 0.7626 0.7294 0.7483
Se 0.7626 0.7706 0.2483
Se 0.8045 0.0858 0.4290
Se 0.8045 0.4142 0.9290
Se 0.9849 0.1483 0.9169
Se 0.9849 0.3517 0.4169
Se 0.9897 0.6928 0.8823
Se 0.9897 0.8072 0.3823
Se 0.9973 0.0235 0.2530
Se 0.9973 0.4765 0.7530

Top 8 peaks for 15 to 90 degrees two-theta, low angle first:
15.3°, rel. 462; 24.5°, rel. 533; 28.8°, rel. 502; 30.2°, rel. 544; 32.9°, rel. 1000; 36.6°, rel. 373; 38.4°, rel. 369; 50.2°, rel. 407

Structure and calculated powder diffractogram of Ba3Tb2Se7 (the GGA-PBE geometry in OQMD; Cu Kα (λ = 1.5418 Å)).

Structural model:
Lattice parameters (Å, degrees): 14.0174 14.0174 7.7401 90.00 90.00 147.92
Element x y z (fractional)
Ba 0.0000 0.5000 0.0000
Ba 0.1690 0.3171 0.0000
Ba 0.3171 0.1690 0.5000
Ba 0.5000 0.0000 0.5000
Ba 0.6829 0.8310 0.5000
Ba 0.8310 0.6829 0.0000
Tb 0.1052 0.3957 0.5000
Tb 0.3957 0.1052 0.0000
Tb 0.6043 0.8948 0.0000
Tb 0.8948 0.6043 0.5000
Se 0.0000 0.5000 0.5000
Se 0.1593 0.8407 0.2500
Se 0.1593 0.8407 0.7500
Se 0.1970 0.2846 0.5000
Se 0.2846 0.1970 0.0000
Se 0.3427 0.6573 0.2500
Se 0.3427 0.6573 0.7500
Se 0.5000 0.0000 0.0000
Se 0.6573 0.3427 0.2500
Se 0.6573 0.3427 0.7500
Se 0.7154 0.8030 0.0000
Se 0.8030 0.7154 0.5000
Se 0.8407 0.1593 0.2500
Se 0.8407 0.1593 0.7500

Top 8 peaks for 15 to 90 degrees two-theta, low angle first:
23.0°, rel. 603; 23.2°, rel. 470; 30.5°, rel. 468; 32.7°, rel. 1000; 34.1°, rel. 359; 46.9°, rel. 390; 47.3°, rel. 400; 48.0°, rel. 272

Structure and calculated powder diffractogram of Ba3ThSe7 (the GGA-PBE geometry in OQMD; Cu Kα (λ = 1.5418 Å)).

Structural model:
Lattice parameters (Å, degrees): 8.4685 8.4685 8.4685 139.38 83.55 110.69
Element x y z (fractional)
Ba 0.0000 0.0000 0.0000
Ba 0.4466 0.7075 0.7391
Ba 0.9684 0.7075 0.2609
Th 0.5920 0.0920 0.5000
Se 0.3025 0.0072 0.7048
Se 0.3025 0.5977 0.2952
Se 0.3193 0.0514 0.2679
Se 0.6504 0.6504 0.0000
Se 0.7835 0.0514 0.7321
Se 0.7908 0.3860 0.4049
Se 0.9811 0.3860 0.5951

Top 8 peaks for 15 to 90 degrees two-theta, low angle first:
22.6°, rel. 600; 28.3°, rel. 742; 28.7°, rel. 559; 30.4°, rel. 625; 31.8°, rel. 1000; 32.6°, rel. 405; 33.5°, rel. 659; 46.2°, rel. 516

Please write out number 1 again, unchanged.
Structure and calculated powder diffractogram of BaSrZnSe3 (the GGA-PBE geometry in OQMD; Cu Kα (λ = 1.5418 Å)).

Structural model:
Lattice parameters (Å, degrees): 9.5250 4.3789 16.8642 90.00 90.00 90.00
Element x y z (fractional)
Ba 0.0768 0.2500 0.2058
Ba 0.4232 0.7500 0.7058
Ba 0.5768 0.2500 0.2942
Ba 0.9232 0.7500 0.7942
Sr 0.2206 0.7500 0.4579
Sr 0.2794 0.2500 0.9579
Sr 0.7206 0.7500 0.0421
Sr 0.7794 0.2500 0.5421
Zn 0.1374 0.2500 0.6347
Zn 0.3626 0.7500 0.1347
Zn 0.6374 0.2500 0.8653
Zn 0.8626 0.7500 0.3653
Se 0.0026 0.7500 0.6013
Se 0.1418 0.7500 0.0588
Se 0.1858 0.2500 0.7794
Se 0.3142 0.7500 0.2794
Se 0.3582 0.2500 0.5588
Se 0.4974 0.2500 0.1013
Se 0.5026 0.7500 0.8987
Se 0.6418 0.7500 0.4412
Se 0.6858 0.2500 0.7206
Se 0.8142 0.7500 0.2206
Se 0.8582 0.2500 0.9412
Se 0.9974 0.2500 0.3987

Top 8 peaks for 15 to 90 degrees two-theta, low angle first:
28.1°, rel. 498; 28.2°, rel. 978; 29.7°, rel. 1000; 30.1°, rel. 278; 30.9°, rel. 477; 34.9°, rel. 367; 38.5°, rel. 294; 41.2°, rel. 493